Calculated X-ray powder pattern of Ac5CoAg2O for Cu Kα, 1.54184 Å, from a structure optimized by DFT (PBE+U).

Largest 10 diffraction maxima, low angle first, 2θ = 10–90°:
two_theta	I (rel.)
26.52	25
26.82	22
28.36	32
28.76	100
31.62	22
34.11	16
42.97	17
47.24	25
51.23	14
52.51	12

Structural model:
Cell: 9.785 9.785 14.183 Å, 90.00 90.00 155.16°
Sites, in units of the cell vectors:
Ac: 0.000 0.000 0.000
Ac: 0.000 0.000 0.500
Ac: 0.148 0.852 0.741
Ac: 0.195 0.805 0.109
Ac: 0.206 0.794 0.388
Ac: 0.450 0.550 0.735
Ac: 0.550 0.450 0.235
Ac: 0.794 0.206 0.888
Ac: 0.805 0.195 0.609
Ac: 0.852 0.148 0.241
Co: 0.293 0.707 0.748
Co: 0.707 0.293 0.248
Ag: 0.374 0.626 0.056
Ag: 0.380 0.620 0.425
Ag: 0.620 0.380 0.925
Ag: 0.626 0.374 0.556
O: 0.060 0.940 0.149
O: 0.940 0.060 0.649